[1]
# Ac2Dy6Ho
Computed powder diffractogram, Cu Kα (weighted mean of Kα1 and Kα2). Input: a structure optimized by DFT (GGA-PBE).

Structure:
```
data_Ac2Dy6Ho
_chemical_formula_sum 'Ac2 Dy6 Ho1'
_symmetry_space_group_name_H-M 'P 1 2/m 1'
_symmetry_Int_Tables_number 10
_cell_length_a 8.7796
_cell_length_b 3.6317
_cell_length_c 10.0722
_cell_angle_alpha 90.00
_cell_angle_beta 101.99
_cell_angle_gamma 90.00
loop_
_symmetry_equiv_pos_as_xyz
'x,y,z'
'-x,-y,-z'
'-x,y,-z'
'x,-y,z'
loop_
_atom_site_label
_atom_site_type_symbol
_atom_site_fract_x
_atom_site_fract_y
_atom_site_fract_z
Ac1 Ac 0.1943 0.0000 0.4622
Dy1 Dy 0.1230 0.5000 0.7856
Dy2 Dy 0.1833 0.0000 0.0983
Dy3 Dy 0.4801 0.5000 0.3233
Ho1 Ho 0.5000 0.5000 0.0000
```

The 10 most intense peaks (2θ from 10° to 90°), sorted by position:
2θ 26.65, I 23.1, (1 1 0)
2θ 30.62, I 100.0, (2 0 -3)
2θ 31.10, I 78.7, (1 0 3)
2θ 31.25, I 50.6, (3 0 0)
2θ 32.30, I 78.5, (2 1 0)
2θ 36.77, I 25.5, (1 1 -3)
2θ 50.25, I 17.9, (0 2 0)
2θ 52.28, I 22.5, (4 1 -3)
2θ 60.01, I 20.0, (2 2 -3)
2θ 60.32, I 34.6, (1 2 3)



[2]
# Na2PaInCl8
Computed powder diffractogram, Cu Kα (weighted mean of Kα1 and Kα2). Input: a structure optimized by DFT (GGA-PBE).

Structure:
```
data_Na2PaInCl8
_chemical_formula_sum 'Na2 Pa1 In1 Cl8'
_symmetry_space_group_name_H-M 'P -1'
_symmetry_Int_Tables_number 2
_cell_length_a 6.6300
_cell_length_b 6.7260
_cell_length_c 9.4230
_cell_angle_alpha 84.74
_cell_angle_beta 84.89
_cell_angle_gamma 87.70
loop_
_symmetry_equiv_pos_as_xyz
'x,y,z'
'-x,-y,-z'
loop_
_atom_site_label
_atom_site_type_symbol
_atom_site_fract_x
_atom_site_fract_y
_atom_site_fract_z
Na1 Na 0.0506 0.0438 0.3045
Pa1 Pa 0.5000 0.5000 0.0000
In1 In 0.5000 0.5000 0.5000
Cl1 Cl 0.1978 0.1874 0.5242
Cl2 Cl 0.2439 0.2200 0.0299
Cl3 Cl 0.2933 0.6771 0.1972
Cl4 Cl 0.3012 0.6850 0.8042
```

The 10 most intense peaks (2θ from 10° to 90°), sorted by position:
2θ 13.23, I 100.0, (0 1 0)
2θ 13.42, I 95.2, (1 0 0)
2θ 18.57, I 77.7, (1 1 0)
2θ 18.99, I 48.7, (0 0 2)
2θ 19.19, I 82.3, (1 -1 0)
2θ 22.34, I 39.5, (1 0 2)
2θ 24.22, I 35.2, (1 0 -2)
2θ 27.10, I 58.4, (-1 1 2)
2θ 27.13, I 53.3, (1 -1 2)
2θ 29.53, I 37.3, (1 2 0)



[3]
# Pm3In2Au
Computed powder diffractogram, Cu Kα (weighted mean of Kα1 and Kα2). Input: a structure optimized by DFT (GGA-PBE).

Structure:
```
data_Pm3In2Au
_chemical_formula_sum 'Pm3 In2 Au1'
_symmetry_space_group_name_H-M 'P 4/m m m'
_symmetry_Int_Tables_number 123
_symmetry_space_group_name_Hall '-P 4 2'
_cell_length_a 3.6477
_cell_length_b 3.6477
_cell_length_c 12.3749
_cell_angle_alpha 90.00
_cell_angle_beta 90.00
_cell_angle_gamma 90.00
loop_
_atom_site_label
_atom_site_type_symbol
_atom_site_fract_x
_atom_site_fract_y
_atom_site_fract_z
Pm1 Pm 0.0000 0.0000 0.0000
Pm2 Pm 0.0000 0.0000 0.3497
In1 In 0.5000 0.5000 0.1748
Au1 Au 0.5000 0.5000 0.5000
```

The 10 most intense peaks (2θ from 10° to 90°), sorted by position:
2θ 32.77, I 100.0, (1 0 3)
2θ 34.78, I 44.3, (1 1 0)
2θ 43.90, I 9.9, (0 0 6)
2θ 50.01, I 15.8, (2 0 0)
2θ 57.19, I 18.1, (1 1 6)
2θ 61.09, I 33.2, (2 1 3)
2θ 68.70, I 10.4, (2 0 6)
2θ 73.62, I 7.0, (1 0 9)
2θ 82.75, I 7.1, (3 0 3)
2θ 83.88, I 7.2, (3 1 0)



[4]
# Li5In2Hg2
Computed powder diffractogram, Cu Kα (weighted mean of Kα1 and Kα2). Input: a structure optimized by DFT (GGA-PBE).

Structure:
```
data_Li5In2Hg2
_chemical_formula_sum 'Li20 In8 Hg8'
_symmetry_space_group_name_H-M 'F m m m'
_symmetry_Int_Tables_number 69
_symmetry_space_group_name_Hall '-F 2 2'
_cell_length_a 6.1462
_cell_length_b 8.6222
_cell_length_c 13.7610
_cell_angle_alpha 90.00
_cell_angle_beta 90.00
_cell_angle_gamma 90.00
loop_
_atom_site_label
_atom_site_type_symbol
_atom_site_fract_x
_atom_site_fract_y
_atom_site_fract_z
Li1 Li 0.0000 0.0000 0.0000
Li2 Li 0.2500 0.2500 0.1526
In1 In 0.0000 0.0000 0.2613
Hg1 Hg 0.0000 0.1656 0.5000
```

The 10 most intense peaks (2θ from 10° to 90°), sorted by position:
2θ 12.87, I 30.3, (0 0 2)
2θ 18.87, I 95.0, (1 1 1)
2θ 24.36, I 100.0, (0 2 2)
2θ 25.90, I 94.2, (0 0 4)
2θ 29.06, I 71.8, (2 0 0)
2θ 35.08, I 69.6, (1 3 1)
2θ 38.27, I 66.5, (2 2 2)
2θ 39.31, I 74.0, (2 0 4)
2θ 39.81, I 67.5, (1 3 3)
2θ 58.85, I 36.0, (1 3 7)



[5]
# Pr2ErMg2
Computed powder diffractogram, Cu Kα (weighted mean of Kα1 and Kα2). Input: a structure optimized by DFT (GGA-PBE).

Structure:
```
data_Pr2ErMg2
_chemical_formula_sum 'Pr4 Er2 Mg4'
_symmetry_space_group_name_H-M 'P 1 21/m 1'
_symmetry_Int_Tables_number 11
_cell_length_a 3.8513
_cell_length_b 5.4931
_cell_length_c 14.3491
_cell_angle_alpha 90.00
_cell_angle_beta 97.74
_cell_angle_gamma 90.00
loop_
_symmetry_equiv_pos_as_xyz
'x,y,z'
'-x,-y,-z'
'-x,y+1/2,-z'
'x,-y+1/2,z'
loop_
_atom_site_label
_atom_site_type_symbol
_atom_site_fract_x
_atom_site_fract_y
_atom_site_fract_z
Pr1 Pr 0.0456 0.2500 0.0903
Pr2 Pr 0.2356 0.2500 0.4728
Er1 Er 0.1503 0.7500 0.2990
Mg1 Mg 0.3598 0.7500 0.7203
Mg2 Mg 0.4437 0.2500 0.8888
```

The 10 most intense peaks (2θ from 10° to 90°), sorted by position:
2θ 20.43, I 13.3, (0 1 2)
2θ 23.31, I 20.6, (1 0 0)
2θ 24.81, I 29.7, (0 1 3)
2θ 31.46, I 22.3, (0 0 5)
2θ 32.46, I 100.0, (1 1 2)
2θ 32.60, I 26.4, (0 2 0)
2θ 45.94, I 15.6, (0 2 5)
2θ 54.24, I 15.9, (0 1 8)
2θ 56.65, I 11.9, (1 1 -8)
2θ 58.09, I 18.9, (1 3 2)



[6]
# LaYCd6
Computed powder diffractogram, Cu Kα (weighted mean of Kα1 and Kα2). Input: a structure optimized by DFT (GGA-PBE).

Structure:
```
data_LaYCd6
_chemical_formula_sum 'La2 Y2 Cd12'
_symmetry_space_group_name_H-M 'A m m 2'
_symmetry_Int_Tables_number 38
_cell_length_a 4.9532
_cell_length_b 7.2190
_cell_length_c 11.2468
_cell_angle_alpha 90.00
_cell_angle_beta 90.00
_cell_angle_gamma 90.00
loop_
_symmetry_equiv_pos_as_xyz
'x,y,z'
'-x,-y,z'
'-x,y,z'
'x,-y,z'
'x,y+1/2,z+1/2'
'-x,-y+1/2,z+1/2'
'-x,y+1/2,z+1/2'
'x,-y+1/2,z+1/2'
loop_
_atom_site_label
_atom_site_type_symbol
_atom_site_fract_x
_atom_site_fract_y
_atom_site_fract_z
La1 La 0.0000 0.0000 0.0000
Y1 Y 0.5000 0.0000 0.7169
Cd1 Cd 0.0000 0.0000 0.5338
Cd2 Cd 0.0000 0.2175 0.2667
Cd3 Cd 0.5000 0.0000 0.1927
Cd4 Cd 0.5000 0.2125 0.4495
```

The 10 most intense peaks (2θ from 10° to 90°), sorted by position:
2θ 29.40, I 14.5, (0 2 2)
2θ 31.83, I 18.4, (0 0 4)
2θ 32.42, I 9.5, (1 1 3)
2θ 34.64, I 100.0, (1 2 2)
2θ 36.27, I 29.3, (2 0 0)
2θ 36.76, I 27.8, (1 0 4)
2θ 49.02, I 10.7, (2 0 4)
2θ 55.22, I 11.3, (0 2 6)
2θ 64.18, I 22.4, (3 2 2)
2θ 67.87, I 11.8, (2 2 6)



[7]
# CaTa4S8
Computed powder diffractogram, Cu Kα (weighted mean of Kα1 and Kα2). Input: a structure optimized by DFT (GGA-PBE).

Structure:
```
data_CaTa4S8
_chemical_formula_sum 'Ca2 Ta8 S16'
_symmetry_space_group_name_H-M 'C 1 2/m 1'
_symmetry_Int_Tables_number 12
_cell_length_a 11.7572
_cell_length_b 6.8818
_cell_length_c 8.8210
_cell_angle_alpha 90.00
_cell_angle_beta 128.18
_cell_angle_gamma 90.00
loop_
_symmetry_equiv_pos_as_xyz
'x,y,z'
'-x,-y,-z'
'-x,y,-z'
'x,-y,z'
'x+1/2,y+1/2,z'
'-x+1/2,-y+1/2,-z'
'-x+1/2,y+1/2,-z'
'x+1/2,-y+1/2,z'
loop_
_atom_site_label
_atom_site_type_symbol
_atom_site_fract_x
_atom_site_fract_y
_atom_site_fract_z
Ca1 Ca 0.0000 0.0000 0.0000
Ta1 Ta 0.0000 0.2911 0.5000
Ta2 Ta 0.2314 0.5000 0.4938
S1 S 0.0049 0.0000 0.6872
S2 S 0.0321 0.5000 0.7518
S3 S 0.2311 0.2525 0.2791
```

The 10 most intense peaks (2θ from 10° to 90°), sorted by position:
2θ 12.77, I 100.0, (0 0 1)
2θ 25.70, I 9.8, (0 0 2)
2θ 30.11, I 18.0, (2 2 -1)
2θ 32.41, I 19.1, (4 0 -1)
2θ 33.20, I 27.9, (2 2 -2)
2θ 38.98, I 15.3, (4 0 0)
2θ 39.34, I 12.6, (2 2 1)
2θ 40.62, I 18.7, (2 2 -3)
2θ 41.53, I 9.3, (4 0 -4)
2θ 49.21, I 9.4, (2 2 2)



[8]
# Dy3Zn7Pt4
Computed powder diffractogram, Cu Kα (weighted mean of Kα1 and Kα2). Input: a structure optimized by DFT (GGA-PBE).

Structure:
```
data_Dy3Zn7Pt4
_chemical_formula_sum 'Dy6 Zn14 Pt8'
_symmetry_space_group_name_H-M 'C 1 2/m 1'
_symmetry_Int_Tables_number 12
_cell_length_a 15.2898
_cell_length_b 4.3458
_cell_length_c 9.2451
_cell_angle_alpha 90.00
_cell_angle_beta 124.03
_cell_angle_gamma 90.00
loop_
_symmetry_equiv_pos_as_xyz
'x,y,z'
'-x,-y,-z'
'-x,y,-z'
'x,-y,z'
'x+1/2,y+1/2,z'
'-x+1/2,-y+1/2,-z'
'-x+1/2,y+1/2,-z'
'x+1/2,-y+1/2,z'
loop_
_atom_site_label
_atom_site_type_symbol
_atom_site_fract_x
_atom_site_fract_y
_atom_site_fract_z
Dy1 Dy 0.0000 0.0000 0.0000
Dy2 Dy 0.2047 0.5000 0.7134
Zn1 Zn 0.0000 0.0000 0.5000
Zn2 Zn 0.0037 0.5000 0.3124
Zn3 Zn 0.1445 0.0000 0.4230
Zn4 Zn 0.1719 0.5000 0.0163
Pt1 Pt 0.1180 0.0000 0.8325
Pt2 Pt 0.1609 0.5000 0.2826
```

The 10 most intense peaks (2θ from 10° to 90°), sorted by position:
2θ 29.49, I 40.7, (3 1 0)
2θ 33.43, I 47.4, (2 0 2)
2θ 34.79, I 66.2, (1 1 2)
2θ 35.75, I 95.6, (3 1 -3)
2θ 36.00, I 40.5, (3 1 1)
2θ 36.10, I 88.8, (5 1 -2)
2θ 37.07, I 35.4, (6 0 -3)
2θ 41.24, I 42.3, (5 1 0)
2θ 41.56, I 100.0, (0 2 0)
2θ 44.69, I 46.8, (3 1 -4)